The following is a simulated X-ray powder pattern of TlCdAg2Cl8. It was derived from a crystal structure in Alexandria, relaxed with PBE, using CuKα.
No peak broadening, texture or thermal motion is included.

Crystal structure
Lattice parameters (Å, degrees): 6.3944 7.7437 6.7309 90.00 96.50 90.00
Space group P2/m (No. 10)
One atom of each set of equivalent atoms:
Tl  0.0000  0.0000  0.0000 (multiplicity 1)
Cd  0.0000  0.5000  0.0000 (multiplicity 1)
Ag  0.5000  0.2527  0.5000 (multiplicity 2)
Cl  0.2115  0.2466  0.8490 (multiplicity 4)
Cl  0.2797  0.5000  0.3389 (multiplicity 2)
Cl  0.2847  0.0000  0.3414 (multiplicity 2)

Principal peaks in the range 2θ = 10–90°, by intensity:
2θ/deg	I/Imax	index
18.14	100	1 0 -1
20.34	71	1 0 1
26.62	52	0 0 2
26.97	49	1 2 0
37.91	42	2 2 -1
40.21	34	2 2 1
47.04	30	0 2 3
37.10	30	1 2 -2
39.44	25	1 2 2
41.37	21	2 0 2
49.03	21	3 2 0
36.75	19	2 0 -2

The following is a simulated X-ray powder pattern of CrCdAg4. It was derived from a crystal structure in Alexandria, relaxed with PBE, using CuKα.
No peak broadening, texture or thermal motion is included.

Crystal structure
Lattice parameters (Å, degrees): 7.7573 7.7573 7.7573 90.00 90.00 90.00
Space group F-43m (No. 216)
One atom of each set of equivalent atoms:
Cr  0.0000  0.0000  0.0000 (multiplicity 4)
Cd  0.2500  0.2500  0.7500 (multiplicity 4)
Ag  0.1252  0.1252  0.3748 (multiplicity 16)

Principal peaks in the range 2θ = 10–90°, by intensity:
2θ/deg	I/Imax	index
38.49	100	3 1 1
40.27	50	2 2 2
62.18	30	5 1 1
68.41	27	4 4 0
19.82	19	1 1 1
32.65	19	2 2 0
82.48	17	6 2 2
81.34	10	5 3 3
46.85	9	4 0 0
58.27	6	4 2 2
51.34	5	3 3 1
72.02	3	5 3 1

The following is a simulated X-ray powder pattern of NbCr2CdAg. It was derived from a crystal structure in Alexandria, relaxed with PBE, using CuKα.
No peak broadening, texture or thermal motion is included.

Crystal structure
Lattice parameters (Å, degrees): 4.6399 4.6399 5.2561 90.00 90.00 90.00
Space group P4/mmm (No. 123)
One atom of each set of equivalent atoms:
Nb  0.0000  0.0000  0.0000 (multiplicity 1)
Cr  0.0000  0.5000  0.0000 (multiplicity 2)
Cd  0.5000  0.5000  0.5000 (multiplicity 1)
Ag  0.0000  0.0000  0.5000 (multiplicity 1)

Principal peaks in the range 2θ = 10–90°, by intensity:
2θ/deg	I/Imax	index
32.16	100	1 1 1
38.82	95	2 0 0
52.62	75	2 0 2
34.12	69	0 0 2
27.18	61	1 1 0
67.28	34	2 2 2
56.07	34	2 2 0
44.15	33	1 1 2
25.61	30	1 0 1
19.13	28	1 0 0
66.12	21	3 1 1
84.79	18	2 0 4

The following is a simulated X-ray powder pattern of CsCd4Ag. It was derived from a crystal structure in Alexandria, relaxed with PBE, using CuKα.
No peak broadening, texture or thermal motion is included.

Crystal structure
Lattice parameters (Å, degrees): 5.8204 9.6102 7.3467 90.00 112.75 90.00
Space group P2_1 (No. 4)
One atom of each set of equivalent atoms:
Cs  0.0498  0.0000  0.1058 (multiplicity 2)
Cd  0.2210  0.3694  0.4615 (multiplicity 2)
Cd  0.3283  0.8490  0.6603 (multiplicity 2)
Cd  0.4431  0.6292  0.4069 (multiplicity 2)
Cd  0.4604  0.2442  0.9349 (multiplicity 2)
Ag  0.0526  0.1260  0.5978 (multiplicity 2)

Principal peaks in the range 2θ = 10–90°, by intensity:
2θ/deg	I/Imax	index
27.93	100	0 1 2
39.81	85	0 4 1
36.08	71	2 2 -1
24.87	65	1 2 0
24.95	61	1 2 -1
38.66	58	2 2 -2
13.07	50	0 0 1
30.88	48	0 3 1
38.42	38	2 2 0
41.78	36	2 1 1
26.77	29	1 1 -2
42.21	27	2 1 -3

The following is a simulated X-ray powder pattern of CsCd2Ag. It was derived from a crystal structure in Alexandria, relaxed with PBE, using CuKα.
No peak broadening, texture or thermal motion is included.

Crystal structure
Lattice parameters (Å, degrees): 4.9228 6.4818 8.3248 90.00 90.00 90.00
Space group Pmmn (No. 59, origin choice 2)
One atom of each set of equivalent atoms:
Cs  0.2500  0.2500  0.0717 (multiplicity 2)
Cd  0.2500  0.0075  0.6190 (multiplicity 4)
Ag  0.2500  0.7500  0.3301 (multiplicity 2)

Principal peaks in the range 2θ = 10–90°, by intensity:
2θ/deg	I/Imax	index
34.85	100	1 2 1
25.11	65	1 1 1
28.07	51	1 0 2
25.43	51	0 1 2
36.50	51	2 0 0
10.63	48	0 0 1
29.58	43	0 2 1
39.73	40	1 2 2
46.89	39	1 2 3
31.34	28	1 1 2
32.26	26	0 0 3
64.61	24	3 2 1

The following is a simulated X-ray powder pattern of Cs6CdAg3. It was derived from a crystal structure in Alexandria, relaxed with PBE, using CuKα.
No peak broadening, texture or thermal motion is included.

Crystal structure
Lattice parameters (Å, degrees): 11.4907 8.4029 14.4254 90.00 116.76 90.00
Space group P2_1/c (No. 14)
One atom of each set of equivalent atoms:
Cs  0.1199  0.0455  0.2798 (multiplicity 4)
Cs  0.2623  0.5938  0.1448 (multiplicity 4)
Cs  0.3482  0.0874  0.0529 (multiplicity 4)
Cd  0.5000  0.0000  0.5000 (multiplicity 2)
Ag  0.0000  0.0000  0.0000 (multiplicity 2)
Ag  0.4239  0.2433  0.3402 (multiplicity 4)

Principal peaks in the range 2θ = 10–90°, by intensity:
2θ/deg	I/Imax	index
26.02	100	3 1 -1
22.76	91	2 1 -3
23.27	43	0 1 3
25.00	41	1 0 -4
22.26	39	0 2 1
28.19	38	3 1 0
36.19	37	2 3 -2
17.35	33	0 1 2
33.58	31	1 1 -5
30.22	29	2 2 1
19.29	29	1 0 2
28.77	28	1 2 2

The following is a simulated X-ray powder pattern of Cs2CdAg3. It was derived from a crystal structure in Alexandria, relaxed with PBE, using CuKα.
No peak broadening, texture or thermal motion is included.

Crystal structure
Lattice parameters (Å, degrees): 6.0665 7.2090 9.4305 90.00 90.00 90.00
Space group Pmma (No. 51)
One atom of each set of equivalent atoms:
Cs  0.2500  0.0000  0.1239 (multiplicity 2)
Cs  0.2500  0.5000  0.3566 (multiplicity 2)
Cd  0.2500  0.5000  0.9050 (multiplicity 2)
Ag  0.0000  0.0000  0.5000 (multiplicity 2)
Ag  0.2500  0.1985  0.7090 (multiplicity 4)

Principal peaks in the range 2θ = 10–90°, by intensity:
2θ/deg	I/Imax	index
26.95	100	1 1 2
30.36	42	1 2 1
29.45	30	2 0 0
50.70	30	0 4 0
55.56	26	2 2 4
31.02	19	0 1 3
24.70	19	0 2 0
48.29	19	0 0 5
31.23	17	0 2 2
40.01	15	2 2 1
35.18	14	2 0 2
34.46	13	1 1 3

The following is a simulated X-ray powder pattern of Cs3Cd4Ag4. It was derived from a crystal structure in Alexandria, relaxed with PBE, using CuKα.
No peak broadening, texture or thermal motion is included.

Crystal structure
Lattice parameters (Å, degrees): 8.9919 8.9919 8.9919 90.00 90.00 90.00
Space group I-43m (No. 217)
One atom of each set of equivalent atoms:
Cs  0.0000  0.0000  0.5000 (multiplicity 6)
Cd  0.1999  0.1999  0.8001 (multiplicity 8)
Ag  0.1167  0.1167  0.1167 (multiplicity 8)

Principal peaks in the range 2θ = 10–90°, by intensity:
2θ/deg	I/Imax	index
28.07	100	2 2 0
37.42	60	3 2 1
31.46	60	3 1 0
42.66	49	4 1 1
13.93	29	1 1 0
49.67	24	4 2 2
63.81	19	6 1 1
58.02	19	4 4 0
69.32	17	6 2 2
78.10	16	5 5 2
47.42	16	3 3 2
74.64	16	5 5 0

The following is a simulated X-ray powder pattern of Cs4CdAg4. It was derived from a crystal structure in Alexandria, relaxed with PBE, using CuKα.
No peak broadening, texture or thermal motion is included.

Crystal structure
Lattice parameters (Å, degrees): 7.7185 7.7185 15.4077 90.00 90.00 90.00
Space group I-42m (No. 121)
One atom of each set of equivalent atoms:
Cs  0.2171  0.2171  0.1374 (multiplicity 8)
Cd  0.0000  0.0000  0.5000 (multiplicity 2)
Ag  0.2138  0.2138  0.3896 (multiplicity 8)

Principal peaks in the range 2θ = 10–90°, by intensity:
2θ/deg	I/Imax	index
32.84	100	2 0 4
23.06	86	0 0 4
26.46	24	2 1 1
58.63	20	2 2 8
49.04	18	4 1 1
40.51	17	2 2 4
31.22	15	2 1 3
53.10	14	2 0 8
47.13	13	0 0 8
52.00	13	4 1 3
28.36	11	1 1 4
12.83	11	1 0 1

The following is a simulated X-ray powder pattern of Cs3Cd6Ag. It was derived from a crystal structure in Alexandria, relaxed with PBE, using CuKα.
No peak broadening, texture or thermal motion is included.

Crystal structure
Lattice parameters (Å, degrees): 14.6295 14.6295 6.7784 90.00 90.00 120.00
Space group R-3m (No. 166, hexagonal axes)
One atom of each set of equivalent atoms:
Cs  0.0000  0.5000  0.0000 (multiplicity 9)
Cd  0.0766  0.1533  0.8257 (multiplicity 18)
Ag  0.0000  0.0000  0.5000 (multiplicity 3)

Principal peaks in the range 2θ = 10–90°, by intensity:
2θ/deg	I/Imax	index
28.61	100	1 3 1
12.10	53	1 1 0
37.91	34	0 5 1
31.17	32	4 0 1
46.43	27	4 2 2
49.87	26	4 4 0
29.90	24	2 0 2
36.85	21	3 1 2
41.84	19	1 1 3
32.38	15	4 1 0
27.24	14	0 1 2
19.18	12	0 2 1

The following is a simulated X-ray powder pattern of Cs3CdAg2I6. It was derived from a crystal structure in Alexandria, relaxed with PBE, using CuKα.
No peak broadening, texture or thermal motion is included.

Crystal structure
Lattice parameters (Å, degrees): 9.0791 9.0791 9.6930 90.00 90.00 120.00
Space group P-3m1 (No. 164)
One atom of each set of equivalent atoms:
Cs  0.0000  0.0000  0.0000 (multiplicity 1)
Cs  0.3333  0.6667  0.6279 (multiplicity 2)
Cd  0.0000  0.0000  0.5000 (multiplicity 1)
Ag  0.3333  0.6667  0.2396 (multiplicity 2)
I  0.1613  0.3226  0.2991 (multiplicity 6)

Principal peaks in the range 2θ = 10–90°, by intensity:
2θ/deg	I/Imax	index
29.25	100	2 0 2
24.43	73	0 2 1
39.71	56	2 2 0
19.56	37	1 1 0
14.51	34	0 1 1
65.75	25	4 2 2
29.90	25	1 0 3
18.31	23	0 0 2
41.27	22	1 2 3
50.08	22	0 4 2
21.54	20	0 1 2
43.89	19	0 2 4

The following is a simulated X-ray powder pattern of CsCdAgO2. It was derived from a crystal structure in Alexandria, relaxed with PBE, using CuKα.
No peak broadening, texture or thermal motion is included.

Crystal structure
Lattice parameters (Å, degrees): 6.3382 13.2807 5.3450 90.00 90.00 90.00
Space group Cmme (No. 67)
One atom of each set of equivalent atoms:
Cs  0.0000  0.2500  0.2368 (multiplicity 4)
Cd  0.2500  0.0000  0.0000 (multiplicity 4)
Ag  0.0000  0.0000  0.5000 (multiplicity 4)
O  0.0000  0.0972  0.8116 (multiplicity 8)

Principal peaks in the range 2θ = 10–90°, by intensity:
2θ/deg	I/Imax	index
26.85	100	0 4 0
36.23	99	0 2 2
35.60	95	2 2 1
29.76	72	1 3 1
22.77	67	1 1 1
13.33	57	0 2 0
42.93	52	2 4 1
32.86	45	2 0 1
53.30	38	2 6 1
53.77	36	0 6 2
70.52	34	0 0 4
28.16	21	2 0 0